Calculated powder diffractogram
Compound: SnBr2
Radiation: a wavelength of 1.5418 Å
Structure: a structure optimized by DFT (GGA-PBE)
Kinematic intensities with the Lorentz-polarization factor, no thermal factor.

Principal peaks in the range 2θ = 5–70°, sorted by position:
2θ (°)	I (rel.)
17.68	92.3
26.64	84.9
34.61	100.0
35.80	46.0
40.16	34.2
43.24	65.2
54.88	40.0
69.44	28.2

```
SnBr2
1.0
7.094 0.000 0.000
0.000 7.094 0.000
0.000 0.000 4.492
Sn Br
2 4
direct
0.000 0.000 0.000 Sn
0.500 0.500 0.500 Sn
0.201 0.201 0.500 Br
0.299 0.701 0.000 Br
0.701 0.299 0.000 Br
0.799 0.799 0.500 Br
```



Calculated powder diffractogram
Compound: SnBr2
Radiation: a wavelength of 1.5418 Å
Structure: a structure optimized by DFT (GGA-PBE)
Kinematic intensities with the Lorentz-polarization factor, no thermal factor.

Principal peaks in the range 2θ = 5–70°, sorted by position:
2θ (°)	I (rel.)
12.91	44.6
26.76	100.0
35.20	59.6
41.01	38.2
46.30	25.0
49.65	18.2
55.13	16.5
69.49	15.8

```
SnBr2
1.0
4.401 0.000 0.000
-2.201 3.812 0.000
0.000 0.000 6.860
Sn Br
1 2
direct
0.000 0.000 0.000 Sn
0.333 0.667 0.241 Br
0.667 0.333 0.759 Br
```



Calculated powder diffractogram
Compound: SnBr2
Radiation: a wavelength of 1.5418 Å
Structure: a structure optimized by DFT (GGA-PBE)
Kinematic intensities with the Lorentz-polarization factor, no thermal factor.

Principal peaks in the range 2θ = 5–70°, sorted by position:
2θ (°)	I (rel.)
14.03	32.8
29.45	22.6
29.71	100.0
31.93	20.4
37.70	31.2
38.82	25.7
41.19	22.7
41.47	21.3

```
SnBr2
1.0
12.627 0.000 0.000
-6.313 10.935 0.000
0.000 0.000 4.384
Sn Br
6 12
direct
0.109 0.415 0.250 Sn
0.307 0.891 0.250 Sn
0.415 0.307 0.750 Sn
0.585 0.693 0.250 Sn
0.693 0.109 0.750 Sn
0.891 0.585 0.750 Sn
0.010 0.246 0.750 Br
0.132 0.615 0.750 Br
0.235 0.990 0.750 Br
0.246 0.235 0.250 Br
0.385 0.517 0.750 Br
0.483 0.868 0.750 Br
0.517 0.132 0.250 Br
0.615 0.483 0.250 Br
0.754 0.765 0.750 Br
0.765 0.010 0.250 Br
0.868 0.385 0.250 Br
0.990 0.754 0.250 Br
```



Calculated powder diffractogram
Compound: SnBr4
Radiation: a wavelength of 1.5418 Å
Structure: a structure optimized by DFT (GGA-PBE)
Kinematic intensities with the Lorentz-polarization factor, no thermal factor.

Principal peaks in the range 2θ = 5–70°, sorted by position:
2θ (°)	I (rel.)
14.07	69.1
15.93	48.6
23.05	85.9
24.99	68.6
26.26	100.0
26.52	58.1
40.84	68.3
44.92	68.7

```
SnBr4
1.0
11.414 0.000 0.000
0.000 7.625 0.000
-2.563 0.000 11.171
Sn Br
4 16
direct
0.250 0.077 0.133 Sn
0.250 0.423 0.633 Sn
0.750 0.577 0.367 Sn
0.750 0.923 0.867 Sn
0.082 0.579 0.693 Br
0.082 0.921 0.193 Br
0.189 0.116 0.577 Br
0.189 0.384 0.077 Br
0.302 0.576 0.460 Br
0.302 0.924 0.960 Br
0.427 0.077 0.304 Br
0.427 0.423 0.804 Br
0.573 0.577 0.196 Br
0.573 0.923 0.696 Br
0.698 0.076 0.040 Br
0.698 0.424 0.540 Br
0.811 0.616 0.923 Br
0.811 0.884 0.423 Br
0.918 0.079 0.807 Br
0.918 0.421 0.307 Br
```



Calculated powder diffractogram
Compound: TlSn2Br5
Radiation: a wavelength of 1.5418 Å
Structure: a structure optimized by DFT (GGA-PBE)
Kinematic intensities with the Lorentz-polarization factor, no thermal factor.

Principal peaks in the range 2θ = 5–70°, sorted by position:
2θ (°)	I (rel.)
24.21	33.3
28.26	40.4
29.71	100.0
29.89	31.5
33.51	79.1
38.50	29.1
48.00	27.8
60.65	26.7

```
TlSn2Br5
1.0
-4.228 4.228 7.440
4.228 -4.228 7.440
4.228 4.228 -7.440
Tl Sn Br
2 4 10
direct
0.250 0.250 0.000 Tl
0.750 0.750 0.000 Tl
0.176 0.676 0.851 Sn
0.324 0.176 0.500 Sn
0.676 0.824 0.500 Sn
0.824 0.324 0.149 Sn
0.000 0.000 0.000 Br
0.027 0.204 0.500 Br
0.204 0.704 0.177 Br
0.296 0.473 0.500 Br
0.473 0.973 0.177 Br
0.500 0.500 0.000 Br
0.527 0.027 0.823 Br
0.704 0.527 0.500 Br
0.796 0.296 0.823 Br
0.973 0.796 0.500 Br
```



Calculated powder diffractogram
Compound: SrBr2
Radiation: a wavelength of 1.5418 Å
Structure: a structure optimized by DFT (GGA-PBE)
Kinematic intensities with the Lorentz-polarization factor, no thermal factor.

Principal peaks in the range 2θ = 5–70°, sorted by position:
2θ (°)	I (rel.)
19.06	20.0
23.00	24.7
24.12	26.0
30.30	100.0
31.04	34.5
32.50	25.4
37.46	35.5
37.64	74.5

```
SrBr2
1.0
11.526 0.000 0.000
0.000 4.802 0.000
0.000 0.000 7.906
Sr Br
4 8
direct
0.168 0.250 0.127 Sr
0.332 0.750 0.627 Sr
0.668 0.250 0.373 Sr
0.832 0.750 0.873 Sr
0.109 0.750 0.876 Br
0.130 0.750 0.368 Br
0.370 0.250 0.868 Br
0.391 0.250 0.376 Br
0.609 0.750 0.624 Br
0.630 0.750 0.132 Br
0.870 0.250 0.632 Br
0.891 0.250 0.124 Br
```